For Fe11O12, a crystal structure in Alexandria, relaxed with PBE+U gives the computed X-ray diffraction stick pattern in this record (λ = 1.5418 Å (Cu Kα)).
Kinematic intensities with the Lorentz-polarization factor, no thermal factor.

Structure:
```
data_Fe11O12
_cell_length_a 6.205
_cell_length_b 6.843
_cell_length_c 6.856
_cell_angle_alpha 72.19
_cell_angle_beta 76.65
_cell_angle_gamma 64.07
_symmetry_space_group_name_H-M 'P -1'
_symmetry_Int_Tables_number 2
_symmetry_space_group_name_Hall '-P 1'
loop_
_atom_site_label
_atom_site_fract_x
_atom_site_fract_y
_atom_site_fract_z
Fe1 0.000 0.000 0.000
Fe2 0.089 0.170 0.322
Fe3 0.174 0.331 0.676
Fe4 0.263 0.482 0.997
Fe5 0.337 0.680 0.322
Fe6 0.413 0.837 0.677
O1 0.059 0.075 0.661
O2 0.087 0.265 0.997
O3 0.229 0.410 0.345
O4 0.297 0.596 0.661
O5 0.380 0.746 0.985
O6 0.455 0.918 0.359
```

Most intense lines, 10° ≤ 2θ ≤ 80°, in order of rising 2θ:
35.5 deg, intensity 46, hkl 2 1 2
35.8 deg, intensity 87, hkl 2 1 -1
40.9 deg, intensity 100, hkl 2 -1 0
41.7 deg, intensity 95, hkl 2 3 1
41.8 deg, intensity 93, hkl 0 0 3
60.1 deg, intensity 53, hkl 0 4 1